(1)
Computed X-ray diffraction stick pattern
Compound: SrNb8O14
Radiation: Cu Kα (weighted mean of Kα1 and Kα2)
Structure: a DFT-relaxed cell (GGA-PBE, OQMD)
Neutral-atom scattering factors, no anomalous dispersion.

a b c (Å): 9.251 10.327 5.982
angles (deg): 90.00 90.00 90.00
Space group Pbam (No. 55)
Asymmetric unit:
Sr 0.000 0.000 0.000 (multiplicity 2)
Nb 0.115 0.164 0.500 (multiplicity 4)
Nb 0.120 0.664 0.000 (multiplicity 4)
Nb 0.126 0.423 0.233 (multiplicity 8)
O 0.000 0.000 0.500 (multiplicity 2)
O 0.000 0.500 0.500 (multiplicity 2)
O 0.004 0.246 0.246 (multiplicity 8)
O 0.234 0.849 0.000 (multiplicity 4)
O 0.238 0.086 0.244 (multiplicity 8)
O 0.239 0.321 0.500 (multiplicity 4)

The 8 most intense peaks (10° ≤ 2θ ≤ 90°), by angle:
2θ/deg	I_rel	hkl
12.85	48	1 1 0
25.83	95	2 1 1
31.51	73	1 3 1
32.42	38	2 3 0
32.64	51	1 1 2
36.07	68	1 4 0
45.79	100	3 4 0
62.23	41	0 6 2


(2)
Computed X-ray diffraction stick pattern
Compound: Sr5Nb4O15
Radiation: Cu Kα (weighted mean of Kα1 and Kα2)
Structure: a DFT-relaxed cell (GGA-PBE, OQMD)
Neutral-atom scattering factors, no anomalous dispersion.

a b c (Å): 9.840 5.674 11.479
angles (deg): 90.00 90.24 90.00
Space group P2/m (No. 10)
Asymmetric unit:
Sr 0.000 0.000 0.000 (multiplicity 1)
Sr 0.167 0.500 0.220 (multiplicity 2)
Sr 0.168 0.500 0.564 (multiplicity 2)
Sr 0.332 0.000 0.435 (multiplicity 2)
Sr 0.333 0.000 0.780 (multiplicity 2)
Sr 0.500 0.500 0.000 (multiplicity 1)
Nb 0.001 0.000 0.324 (multiplicity 2)
Nb 0.165 0.500 0.893 (multiplicity 2)
Nb 0.334 0.000 0.107 (multiplicity 2)
Nb 0.499 0.500 0.677 (multiplicity 2)
O 0.000 0.500 0.000 (multiplicity 1)
O 0.079 0.246 0.805 (multiplicity 4)
O 0.087 0.257 0.395 (multiplicity 4)
O 0.169 0.000 0.199 (multiplicity 2)
O 0.170 0.000 0.606 (multiplicity 2)
O 0.249 0.250 0.000 (multiplicity 4)
O 0.330 0.500 0.393 (multiplicity 2)
O 0.332 0.500 0.802 (multiplicity 2)
O 0.413 0.243 0.605 (multiplicity 4)
O 0.421 0.254 0.194 (multiplicity 4)
O 0.500 0.000 0.000 (multiplicity 1)

The 8 most intense peaks (10° ≤ 2θ ≤ 90°), by angle:
2θ/deg	I_rel	hkl
29.56	80	1 1 -3
29.64	40	2 0 3
31.52	100	3 1 0
43.66	24	4 0 -3
43.82	49	2 2 3
51.28	19	1 1 6
54.97	29	1 3 -3
56.12	20	6 0 0


(3)
Computed X-ray diffraction stick pattern
Compound: SrNb4O6
Radiation: Cu Kα (weighted mean of Kα1 and Kα2)
Structure: a DFT-relaxed cell (GGA-PBE, OQMD)
Neutral-atom scattering factors, no anomalous dispersion.

a b c (Å): 4.189 4.189 16.290
angles (deg): 90.00 90.00 90.00
Space group P4/mmm (No. 123)
Asymmetric unit:
Sr 0.000 0.000 0.125 (multiplicity 2)
Nb 0.000 0.500 0.368 (multiplicity 4)
Nb 0.500 0.500 0.000 (multiplicity 1)
Nb 0.500 0.500 0.248 (multiplicity 2)
Nb 0.500 0.500 0.500 (multiplicity 1)
O 0.000 0.000 0.374 (multiplicity 2)
O 0.000 0.500 0.000 (multiplicity 2)
O 0.000 0.500 0.237 (multiplicity 4)
O 0.000 0.500 0.500 (multiplicity 2)
O 0.500 0.500 0.120 (multiplicity 2)

The 8 most intense peaks (10° ≤ 2θ ≤ 90°), by angle:
2θ/deg	I_rel	hkl
30.64	100	1 0 4
34.49	27	1 1 3
37.55	19	1 1 4
43.20	53	2 0 0
44.50	23	0 0 8
53.87	27	2 1 4
62.74	16	2 2 0
63.75	29	2 0 8


(4)
Computed X-ray diffraction stick pattern
Compound: Nb2Te2O5
Radiation: Cu Kα (weighted mean of Kα1 and Kα2)
Structure: a DFT-relaxed cell (GGA-PBE, OQMD)
Neutral-atom scattering factors, no anomalous dispersion.

a b c (Å): 3.968 3.968 9.375
angles (deg): 90.00 90.00 90.00
Space group P4/mmm (No. 123)
Asymmetric unit:
Nb 0.000 0.000 0.217 (multiplicity 2)
Te 0.500 0.500 0.000 (multiplicity 1)
Te 0.500 0.500 0.500 (multiplicity 1)
O 0.000 0.000 0.000 (multiplicity 1)
O 0.000 0.500 0.225 (multiplicity 4)

The 8 most intense peaks (10° ≤ 2θ ≤ 90°), by angle:
2θ/deg	I_rel	hkl
29.49	100	1 0 2
31.89	37	1 1 0
37.35	7	1 1 2
38.41	15	0 0 4
45.73	24	2 0 0
50.75	16	1 1 4
55.35	34	2 1 2
61.20	14	2 0 4


(5)
Computed X-ray diffraction stick pattern
Compound: NbTlO3
Radiation: Cu Kα (weighted mean of Kα1 and Kα2)
Structure: a DFT-relaxed cell (GGA-PBE, OQMD)
Neutral-atom scattering factors, no anomalous dispersion.

a b c (Å): 5.4012 5.4012 13.3821
angles (deg): 90.00 90.00 120.00
Space group P6_322 (No. 182)
Asymmetric unit:
Nb 0.0000 0.0000 0.2500 (multiplicity 2)
Nb 0.3333 0.6667 0.2500 (multiplicity 2)
Tl 0.3333 0.6667 0.5560 (multiplicity 4)
O 0.0632 0.3333 0.1644 (multiplicity 12)

The 8 most intense peaks (10° ≤ 2θ ≤ 90°), by angle:
2θ/deg	I_rel	hkl
23.20	44	1 0 2
27.63	100	1 0 3
33.17	63	1 1 0
38.76	21	1 0 5
43.70	30	2 0 3
53.27	21	1 1 6
55.95	29	2 1 3
59.26	17	3 0 0


(6)
Computed X-ray diffraction stick pattern
Compound: NbTlO3
Radiation: Cu Kα (weighted mean of Kα1 and Kα2)
Structure: a DFT-relaxed cell (GGA-PBE, OQMD)
Neutral-atom scattering factors, no anomalous dispersion.

a b c (Å): 5.4009 5.4009 13.4372
angles (deg): 90.00 90.00 120.00
Space group P-31c (No. 163)
Asymmetric unit:
Nb 0.0000 0.0000 0.2500 (multiplicity 2)
Nb 0.3333 0.6667 0.2500 (multiplicity 2)
Tl 0.3333 0.6667 0.5567 (multiplicity 4)
O 0.0622 0.3334 0.1649 (multiplicity 12)

The 8 most intense peaks (10° ≤ 2θ ≤ 90°), by angle:
2θ/deg	I_rel	hkl
23.17	43	1 0 2
27.57	100	1 0 3
33.17	62	1 1 0
38.64	20	1 0 5
43.66	29	2 0 3
53.13	22	2 -1 6
55.91	29	2 1 3
59.27	16	3 0 0


(7)
Computed X-ray diffraction stick pattern
Compound: Tm2Nb2O5
Radiation: Cu Kα (weighted mean of Kα1 and Kα2)
Structure: a DFT-relaxed cell (GGA-PBE, OQMD)
Neutral-atom scattering factors, no anomalous dispersion.

a b c (Å): 3.493 3.493 9.663
angles (deg): 90.00 90.00 90.00
Space group P4/mmm (No. 123)
Asymmetric unit:
Tm 0.000 0.000 0.237 (multiplicity 2)
Nb 0.500 0.500 0.000 (multiplicity 1)
Nb 0.500 0.500 0.500 (multiplicity 1)
O 0.000 0.000 0.000 (multiplicity 1)
O 0.000 0.500 0.374 (multiplicity 4)

The 8 most intense peaks (10° ≤ 2θ ≤ 90°), by angle:
2θ/deg	I_rel	hkl
31.61	100	1 0 2
36.37	31	1 1 0
37.22	13	0 0 4
52.39	17	2 0 0
53.02	30	1 1 4
62.48	29	2 1 2
63.62	12	1 0 6
66.00	10	2 0 4


(8)
Computed X-ray diffraction stick pattern
Compound: Nb2Zn4O9
Radiation: Cu Kα (weighted mean of Kα1 and Kα2)
Structure: a DFT-relaxed cell (GGA-PBE, OQMD)
Neutral-atom scattering factors, no anomalous dispersion.

a b c (Å): 5.2100 5.2100 14.1739
angles (deg): 90.00 90.00 120.00
Space group P-3c1 (No. 165)
Asymmetric unit:
Nb 0.0000 0.0000 0.1392 (multiplicity 4)
Zn 0.3333 0.6667 0.0164 (multiplicity 4)
Zn 0.3333 0.6667 0.2988 (multiplicity 4)
O 0.0000 0.2871 0.2500 (multiplicity 6)
O 0.0227 0.3443 0.9163 (multiplicity 12)

The 8 most intense peaks (10° ≤ 2θ ≤ 90°), by angle:
2θ/deg	I_rel	hkl
23.37	14	0 1 2
32.12	100	1 0 4
34.43	73	1 1 0
47.79	38	0 2 4
52.28	26	1 1 6
60.22	35	2 1 4
61.67	26	3 0 0
81.59	12	1 3 4


(9)
Computed X-ray diffraction stick pattern
Compound: Nb5Os3
Radiation: Cu Kα (weighted mean of Kα1 and Kα2)
Structure: a DFT-relaxed cell (GGA-PBE, OQMD)
Neutral-atom scattering factors, no anomalous dispersion.

a b c (Å): 7.7852 7.7852 5.2751
angles (deg): 90.00 90.00 120.00
Space group P6_3/mcm (No. 193)
Asymmetric unit:
Nb 0.0000 0.2401 0.2500 (multiplicity 6)
Nb 0.3333 0.6667 0.0000 (multiplicity 4)
Os 0.0000 0.3988 0.7500 (multiplicity 6)

The 8 most intense peaks (10° ≤ 2θ ≤ 90°), by angle:
2θ/deg	I_rel	hkl
28.50	28	1 1 1
33.99	27	0 0 2
39.26	100	2 1 1
40.12	37	3 0 0
41.35	59	1 1 2
51.88	31	3 1 1
64.37	23	2 1 3
79.90	21	5 0 2


(10)
Computed X-ray diffraction stick pattern
Compound: Sr2NbP6Os
Radiation: Cu Kα (weighted mean of Kα1 and Kα2)
Structure: a DFT-relaxed cell (GGA-PBE, OQMD)
Neutral-atom scattering factors, no anomalous dispersion.

a b c (Å): 5.9793 5.9793 19.8756
angles (deg): 90.00 90.00 120.00
Space group R3m (No. 160, hexagonal axes)
Asymmetric unit:
Sr 0.0000 0.0000 0.0000 (multiplicity 3)
Sr 0.0000 0.0000 0.4968 (multiplicity 3)
Nb 0.0000 0.0000 0.8257 (multiplicity 3)
P 0.2039 0.4077 0.3797 (multiplicity 9)
P 0.2048 0.4096 0.8848 (multiplicity 9)
Os 0.0000 0.0000 0.3227 (multiplicity 3)

The 8 most intense peaks (10° ≤ 2θ ≤ 90°), by angle:
2θ/deg	I_rel	hkl
19.33	85	0 1 2
24.83	42	1 0 4
26.91	36	0 0 6
29.89	95	1 1 0
39.24	45	0 2 4
40.65	100	1 1 6
47.34	32	1 2 2
60.48	37	3 0 6